Starting from DFT lattice parameters and positions (PBE), the PXRD pattern of LiBeBr3 was calculated for copper Kα.

a = 6.5606 Å, b = 6.5616 Å, c = 8.4043 Å
α = 67.03°, β = 67.12°, γ = 60.01°
Fractional positions:
Li 0.1663 0.1665 0.0008
Li 0.8337 0.8335 0.9992
Be 0.4267 0.4265 0.2203
Be 0.5733 0.5735 0.7797
Br 0.1062 0.7443 0.2242
Br 0.2553 0.5747 0.7759
Br 0.4259 0.1057 0.2242
Br 0.5741 0.8943 0.7758
Br 0.7447 0.4253 0.2241
Br 0.8938 0.2557 0.7758

Largest 8 diffraction maxima, sorted by position, 2θ from 10° to 80°:
2θ/deg  I/Imax
23.71  38
27.18  18
29.72  100
36.37  23
45.60  26
48.03  18
54.25  21
57.51  14